No. 1
# WN2
Simulated X-ray powder pattern, Cu Kα (weighted mean of Kα1 and Kα2). Input: DFT lattice parameters and positions (PBE).

Principal peaks in the range 10° ≤ 2θ ≤ 90°, sorted by position:
d_spacing  I (rel.)
5.083  21
3.996  100
2.727  26
2.672  23
2.541  26
2.173  21
1.842  20
1.651  14
1.644  17
1.377  9

Crystal structure
abc: 5.869 5.869 6.464
angles: 90.00 90.00 120.00
Fractional coordinates of all 9 atoms:
W  0.000  0.500  0.333
W  0.500  0.000  0.000
W  0.500  0.500  0.667
N  0.212  0.424  0.500
N  0.212  0.788  0.167
N  0.424  0.212  0.833
N  0.576  0.788  0.833
N  0.788  0.212  0.167
N  0.788  0.576  0.500

=====

No. 2
# Ac2Al6NiPd
Simulated X-ray powder pattern, Cu Kα (weighted mean of Kα1 and Kα2). Input: DFT lattice parameters and positions (PBE).

Principal peaks in the range 10° ≤ 2θ ≤ 90°, sorted by position:
d_spacing  I (rel.)
3.469  36
3.270  100
2.984  68
2.854  34
2.695  20
2.379  31
2.293  20
1.924  23
1.828  24
1.676  24

Crystal structure
abc: 6.536 6.538 6.961
angles: 62.00 90.00 60.08
Fractional coordinates of all 10 atoms:
Ac  0.208  0.082  0.126
Ac  0.792  0.918  0.874
Al  0.256  0.587  0.668
Al  0.256  0.990  0.667
Al  0.343  0.413  0.333
Al  0.657  0.587  0.667
Al  0.744  0.010  0.333
Al  0.744  0.413  0.332
Ni  0.500  0.500  0.000
Pd  0.000  0.500  0.500

=====

No. 3
# AcLa4S4
Simulated X-ray powder pattern, Cu Kα (weighted mean of Kα1 and Kα2). Input: DFT lattice parameters and positions (PBE).

Principal peaks in the range 10° ≤ 2θ ≤ 90°, sorted by position:
d_spacing  I (rel.)
3.405  100
2.959  71
2.929  34
2.093  26
2.082  52
1.783  33
1.770  16
1.703  27
1.351  13
1.206  13

Crystal structure
abc: 7.234 7.234 9.352
angles: 130.23 130.23 47.77
Fractional coordinates of all 9 atoms:
Ac  0.000  0.000  0.000
La  0.194  0.194  0.799
La  0.395  0.395  0.589
La  0.605  0.605  0.411
La  0.806  0.806  0.201
S  0.102  0.102  0.408
S  0.306  0.306  0.204
S  0.694  0.694  0.796
S  0.898  0.898  0.592

=====

No. 4
# Ag2TeOsRu
Simulated X-ray powder pattern, Cu Kα (weighted mean of Kα1 and Kα2). Input: DFT lattice parameters and positions (PBE).

Principal peaks in the range 10° ≤ 2θ ≤ 90°, sorted by position:
d_spacing  I (rel.)
3.549  20
3.494  46
2.867  100
2.509  92
2.433  42
2.038  21
1.774  32
1.747  61
1.509  28
1.434  31

Crystal structure
abc: 5.019 5.019 4.866
angles: 90.00 90.00 90.00
Fractional coordinates of all 5 atoms:
Ag  0.000  0.500  0.000
Ag  0.500  0.000  0.000
Te  0.000  0.000  0.000
Os  0.500  0.500  0.500
Ru  0.000  0.000  0.500

=====

No. 5
# BaLiRu5O11
Simulated X-ray powder pattern, Cu Kα (weighted mean of Kα1 and Kα2). Input: DFT lattice parameters and positions (PBE).

Principal peaks in the range 10° ≤ 2θ ≤ 90°, sorted by position:
d_spacing  I (rel.)
4.802  37
4.126  52
2.883  96
2.719  90
2.557  51
2.401  53
2.241  37
1.721  100
1.691  44
1.476  44

Crystal structure
abc: 5.904 5.904 13.966
angles: 90.00 90.00 120.00
Fractional coordinates of all 36 atoms:
Ba  0.333  0.667  0.250
Ba  0.667  0.333  0.750
Li  0.333  0.667  0.750
Li  0.667  0.333  0.250
Ru  0.000  0.000  0.158
Ru  0.000  0.000  0.342
Ru  0.000  0.000  0.658
Ru  0.000  0.000  0.842
Ru  0.000  0.500  0.000
Ru  0.000  0.500  0.500
Ru  0.500  0.000  0.000
Ru  0.500  0.000  0.500
Ru  0.500  0.500  0.000
Ru  0.500  0.500  0.500
O  0.150  0.301  0.750
O  0.150  0.850  0.750
O  0.168  0.337  0.081
O  0.168  0.337  0.419
O  0.168  0.832  0.081
O  0.168  0.832  0.419
O  0.301  0.150  0.250
O  0.333  0.667  0.582
O  0.333  0.667  0.918
O  0.337  0.168  0.581
O  0.337  0.168  0.919
O  0.663  0.832  0.081
O  0.663  0.832  0.419
O  0.667  0.333  0.082
O  0.667  0.333  0.418
O  0.699  0.850  0.750
O  0.832  0.168  0.581
O  0.832  0.168  0.919
O  0.832  0.663  0.581
O  0.832  0.663  0.919
O  0.850  0.150  0.250
O  0.850  0.699  0.250

=====

No. 6
# KAg2O2
Simulated X-ray powder pattern, Cu Kα (weighted mean of Kα1 and Kα2). Input: DFT lattice parameters and positions (PBE).

Principal peaks in the range 10° ≤ 2θ ≤ 90°, sorted by position:
d_spacing  I (rel.)
5.318  100
3.389  55
3.109  24
2.659  83
2.574  76
2.291  25
2.080  21
1.729  30
1.694  30
1.471  21

Crystal structure
abc: 7.481 7.481 7.481
angles: 133.69 133.69 67.57
Fractional coordinates of all 10 atoms:
K  0.000  0.000  0.000
K  0.750  0.250  0.500
Ag  0.340  0.596  0.744
Ag  0.346  0.102  0.756
Ag  0.346  0.590  0.244
Ag  0.852  0.596  0.256
O  0.176  0.434  0.259
O  0.176  0.917  0.741
O  0.184  0.426  0.759
O  0.667  0.426  0.241

=====

No. 7
# Ti3CoSb
Simulated X-ray powder pattern, Cu Kα (weighted mean of Kα1 and Kα2). Input: DFT lattice parameters and positions (PBE).

Principal peaks in the range 10° ≤ 2θ ≤ 90°, sorted by position:
d_spacing  I (rel.)
3.710  19
3.145  40
2.533  16
2.399  100
2.297  22
1.908  13
1.855  32
1.573  24
1.435  18
1.315  12

Crystal structure
abc: 6.290 6.290 5.066
angles: 90.00 90.00 120.00
Fractional coordinates of all 10 atoms:
Ti  0.180  0.359  0.250
Ti  0.180  0.820  0.250
Ti  0.359  0.180  0.750
Ti  0.641  0.820  0.250
Ti  0.820  0.180  0.750
Ti  0.820  0.641  0.750
Co  0.000  0.000  0.000
Co  0.000  0.000  0.500
Sb  0.333  0.667  0.750
Sb  0.667  0.333  0.250

=====

No. 8
# SrCd4Hg6
Simulated X-ray powder pattern, Cu Kα (weighted mean of Kα1 and Kα2). Input: DFT lattice parameters and positions (PBE).

Principal peaks in the range 10° ≤ 2θ ≤ 90°, sorted by position:
d_spacing  I (rel.)
3.821  46
3.277  81
3.127  59
2.721  33
2.495  32
2.480  100
2.433  60
2.406  43
1.812  33
1.655  31

Crystal structure
abc: 7.642 7.642 7.642
angles: 119.54 119.54 90.80
Fractional coordinates of all 11 atoms:
Sr  0.000  0.000  0.000
Cd  0.253  0.607  0.000
Cd  0.393  0.393  0.646
Cd  0.607  0.253  0.000
Cd  0.747  0.747  0.354
Hg  0.000  0.500  0.500
Hg  0.117  0.117  0.673
Hg  0.445  0.445  0.327
Hg  0.500  0.000  0.500
Hg  0.555  0.883  0.000
Hg  0.883  0.555  0.000

=====

No. 9
# Y2V3Ge4
Simulated X-ray powder pattern, Cu Kα (weighted mean of Kα1 and Kα2). Input: DFT lattice parameters and positions (PBE).

Principal peaks in the range 10° ≤ 2θ ≤ 90°, sorted by position:
d_spacing  I (rel.)
2.963  13
2.617  75
2.440  88
2.427  47
2.416  76
2.386  19
2.183  100
2.171  62
1.640  16
1.536  17

Crystal structure
abc: 6.959 6.957 6.857
angles: 90.00 109.57 90.00
Fractional coordinates of all 18 atoms:
Y  0.187  0.170  0.056
Y  0.187  0.330  0.556
Y  0.813  0.670  0.444
Y  0.813  0.830  0.944
V  0.258  0.667  0.247
V  0.258  0.833  0.747
V  0.500  0.000  0.500
V  0.500  0.500  0.000
V  0.742  0.167  0.253
V  0.742  0.333  0.753
Ge  0.094  0.547  0.864
Ge  0.094  0.953  0.364
Ge  0.500  0.135  0.865
Ge  0.500  0.365  0.365
Ge  0.500  0.635  0.635
Ge  0.500  0.865  0.135
Ge  0.906  0.047  0.636
Ge  0.906  0.453  0.136

=====

No. 10
# LaNd5N5
Simulated X-ray powder pattern, Cu Kα (weighted mean of Kα1 and Kα2). Input: DFT lattice parameters and positions (PBE).

Principal peaks in the range 10° ≤ 2θ ≤ 90°, sorted by position:
d_spacing  I (rel.)
3.002  100
2.603  47
2.595  23
1.839  41
1.835  8
1.571  8
1.569  15
1.566  22
1.501  16
1.194  9

Crystal structure
abc: 6.359 6.359 7.351
angles: 106.69 106.69 48.38
Fractional coordinates of all 11 atoms:
La  0.000  0.000  0.000
Nd  0.000  0.000  0.500
Nd  0.325  0.325  0.670
Nd  0.329  0.329  0.154
Nd  0.671  0.671  0.846
Nd  0.675  0.675  0.330
N  0.167  0.167  0.340
N  0.173  0.173  0.833
N  0.500  0.500  0.000
N  0.827  0.827  0.167
N  0.833  0.833  0.660

=====

No. 11
# ErAgSeS
Simulated X-ray powder pattern, Cu Kα (weighted mean of Kα1 and Kα2). Input: DFT lattice parameters and positions (PBE).

Principal peaks in the range 10° ≤ 2θ ≤ 90°, sorted by position:
d_spacing  I (rel.)
3.704  23
3.460  100
3.303  44
2.505  92
2.197  97
2.016  38
1.855  17
1.722  17
1.652  25
1.320  24

Crystal structure
abc: 11.377 11.377 11.377
angles: 22.27 22.27 22.27
Fractional coordinates of all 8 atoms:
Er  0.113  0.113  0.113
Er  0.887  0.887  0.887
Ag  0.309  0.309  0.309
Ag  0.691  0.691  0.691
Se  0.392  0.392  0.392
Se  0.608  0.608  0.608
S  0.197  0.197  0.197
S  0.803  0.803  0.803

=====

No. 12
# Cs2PmTe6
Simulated X-ray powder pattern, Cu Kα (weighted mean of Kα1 and Kα2). Input: DFT lattice parameters and positions (PBE).

Principal peaks in the range 10° ≤ 2θ ≤ 90°, sorted by position:
d_spacing  I (rel.)
8.250  66
4.123  70
3.869  28
3.393  100
3.118  25
2.950  28
2.750  100
2.540  39
2.476  42
2.287  34

Crystal structure
abc: 9.712 9.712 5.211
angles: 101.27 101.27 58.74
Fractional coordinates of all 9 atoms:
Cs  0.173  0.173  0.427
Cs  0.827  0.827  0.573
Pm  0.500  0.500  0.000
Te  0.174  0.508  0.103
Te  0.297  0.703  0.500
Te  0.492  0.826  0.897
Te  0.508  0.174  0.103
Te  0.703  0.297  0.500
Te  0.826  0.492  0.897